The following is a calculated powder XRD pattern of CsAuI2Cl. It was derived from the GGA-PBE geometry in OQMD, using copper Kα.
Peak positions follow from Bragg's law for the DFT cell and can differ from measured ones.

Structural model:
a = 8.2672 Å, b = 8.2672 Å, c = 8.2672 Å
α = 119.52°, β = 119.52°, γ = 90.83°
Element x y z (fractional)
Cs: 0.2500 0.7500 0.5000
Cs: 0.7500 0.2500 0.5000
Au: 0.0000 0.0000 0.0000
Au: 0.5000 0.5000 0.0000
I: 0.2295 0.2295 0.4590
I: 0.2295 0.7705 0.0000
I: 0.7705 0.2295 0.0000
I: 0.7705 0.7705 0.5410
Cl: 0.2992 0.2992 0.0000
Cl: 0.7008 0.7008 0.0000

The 10 most intense peaks (2θ from 10° to 90°), sorted by position:
2θ = 15.27°, d = 5.803 Å, rel. 50; 2θ = 21.50°, d = 4.133 Å, rel. 100; 2θ = 26.35°, d = 3.383 Å, rel. 30; 2θ = 30.36°, d = 2.944 Å, rel. 85; 2θ = 30.81°, d = 2.902 Å, rel. 40; 2θ = 34.15°, d = 2.625 Å, rel. 26; 2θ = 37.51°, d = 2.398 Å, rel. 45; 2θ = 43.47°, d = 2.082 Å, rel. 30; 2θ = 43.81°, d = 2.067 Å, rel. 57; 2θ = 54.23°, d = 1.691 Å, rel. 29